1.
# Li3Pb
Simulated powder diffraction line list, Cu Kα, 1.54184 Å. Input: a PBE-relaxed structure.
Kinematic intensities with the Lorentz-polarization factor, no thermal factor.

```
4
Lattice="0.000 3.345 3.345 3.345 0.000 3.345 3.345 3.345 0.000" Properties=species:S:1:pos:R:3 pbc="T T T"
Li 0.000 0.000 0.000
Li 1.673 1.673 1.673
Li 5.018 5.018 5.018
Pb 3.345 3.345 3.345
```

The 10 most intense peaks (10° ≤ 2θ ≤ 90°), most intense first:
- 3.863 Å, 23.0 deg, intensity 100
- 2.017 Å, 44.9 deg, intensity 54
- 3.345 Å, 26.6 deg, intensity 53
- 2.366 Å, 38.0 deg, intensity 52
- 1.535 Å, 60.3 deg, intensity 23
- 1.496 Å, 62.0 deg, intensity 21
- 1.366 Å, 68.7 deg, intensity 19
- 1.131 Å, 85.9 deg, intensity 18
- 1.288 Å, 73.6 deg, intensity 17
- 1.931 Å, 47.0 deg, intensity 16

=====

2.
# Ti3Au
Simulated powder diffraction line list, Cu Kα, 1.54184 Å. Input: a PBE-relaxed structure.
Kinematic intensities with the Lorentz-polarization factor, no thermal factor.

```
8
Lattice="5.113 0.000 0.000 0.000 5.113 0.000 0.000 0.000 5.113" Properties=species:S:1:pos:R:3 pbc="T T T"
Ti 0.000 1.278 2.557
Ti 0.000 3.835 2.557
Ti 1.278 2.557 0.000
Ti 2.557 0.000 1.278
Ti 2.557 0.000 3.835
Ti 3.835 2.557 0.000
Au 0.000 0.000 0.000
Au 2.557 2.557 2.557
```

The 10 most intense peaks (10° ≤ 2θ ≤ 90°), most intense first:
- 2.087 Å, 43.3 deg, intensity 100
- 3.616 Å, 24.6 deg, intensity 81
- 1.367 Å, 68.7 deg, intensity 50
- 2.557 Å, 35.1 deg, intensity 45
- 2.287 Å, 39.4 deg, intensity 19
- 1.617 Å, 56.9 deg, intensity 18
- 1.143 Å, 84.8 deg, intensity 15
- 1.808 Å, 50.5 deg, intensity 13
- 1.205 Å, 79.5 deg, intensity 11
- 1.278 Å, 74.2 deg, intensity 9

=====

3.
# PrHoAl4
Simulated powder diffraction line list, Cu Kα, 1.54184 Å. Input: a PBE-relaxed structure.
Kinematic intensities with the Lorentz-polarization factor, no thermal factor.

```
6
Lattice="0.000 3.984 3.984 3.984 0.000 3.984 3.984 3.984 0.000" Properties=species:S:1:pos:R:3 pbc="T T T"
Pr 0.000 0.000 0.000
Ho 5.976 5.976 5.976
Al 2.989 2.989 2.989
Al 4.980 4.980 2.989
Al 4.980 2.989 4.980
Al 2.989 4.980 4.980
```

The 10 most intense peaks (10° ≤ 2θ ≤ 90°), most intense first:
- 2.403 Å, 37.4 deg, intensity 100
- 2.817 Å, 31.8 deg, intensity 99
- 4.601 Å, 19.3 deg, intensity 61
- 1.627 Å, 56.6 deg, intensity 39
- 1.534 Å, 60.4 deg, intensity 33
- 1.409 Å, 66.4 deg, intensity 22
- 1.260 Å, 75.5 deg, intensity 16
- 1.828 Å, 49.9 deg, intensity 16
- 1.347 Å, 69.8 deg, intensity 12
- 1.215 Å, 78.8 deg, intensity 11

=====

4.
# Tb4Al
Simulated powder diffraction line list, Cu Kα, 1.54184 Å. Input: a PBE-relaxed structure.
Kinematic intensities with the Lorentz-polarization factor, no thermal factor.

```
10
Lattice="0.000 5.596 5.596 5.596 0.000 5.596 5.596 5.596 0.000" Properties=species:S:1:pos:R:3 pbc="T T T"
Tb 8.598 5.391 5.391
Tb 2.593 2.593 2.593
Tb 5.800 5.800 2.593
Tb 5.800 2.593 5.800
Tb 5.391 8.598 5.391
Tb 5.391 5.391 8.598
Tb 8.598 8.598 8.598
Tb 2.593 5.800 5.800
Al 4.197 4.197 4.197
Al 6.995 6.995 6.995
```

The 10 most intense peaks (10° ≤ 2θ ≤ 90°), most intense first:
- 3.231 Å, 27.6 deg, intensity 100
- 2.798 Å, 32.0 deg, intensity 44
- 1.978 Å, 45.9 deg, intensity 32
- 1.687 Å, 54.4 deg, intensity 29
- 2.154 Å, 41.9 deg, intensity 25
- 2.568 Å, 34.9 deg, intensity 16
- 1.567 Å, 58.9 deg, intensity 14
- 1.457 Å, 63.9 deg, intensity 12
- 6.462 Å, 13.7 deg, intensity 11
- 1.367 Å, 68.6 deg, intensity 10

=====

5.
# MnAlAu2
Simulated powder diffraction line list, Cu Kα, 1.54184 Å. Input: a PBE-relaxed structure.
Kinematic intensities with the Lorentz-polarization factor, no thermal factor.

```
4
Lattice="0.000 3.202 3.202 3.202 0.000 3.202 3.202 3.202 0.000" Properties=species:S:1:pos:R:3 pbc="T T T"
Mn 0.000 0.000 0.000
Al 3.202 3.202 3.202
Au 1.601 1.601 1.601
Au 4.803 4.803 4.803
```

The 8 most intense peaks (10° ≤ 2θ ≤ 90°), most intense first:
- 2.264 Å, 39.8 deg, intensity 100
- 3.202 Å, 27.9 deg, intensity 54
- 1.307 Å, 72.3 deg, intensity 35
- 1.432 Å, 65.1 deg, intensity 21
- 1.601 Å, 57.6 deg, intensity 17
- 1.849 Å, 49.3 deg, intensity 16
- 1.132 Å, 85.8 deg, intensity 11
- 3.697 Å, 24.1 deg, intensity 1

=====

6.
# ThAl3
Simulated powder diffraction line list, Cu Kα, 1.54184 Å. Input: a PBE-relaxed structure.
Kinematic intensities with the Lorentz-polarization factor, no thermal factor.

```
8
Lattice="6.518 0.000 0.000 -3.259 5.645 0.000 0.000 0.000 4.639" Properties=species:S:1:pos:R:3 pbc="T T T"
Th 0.000 3.763 1.160
Th 3.259 1.882 3.479
Al 0.000 1.587 3.479
Al -1.884 4.851 3.479
Al 1.375 0.794 1.160
Al 1.884 4.851 3.479
Al 5.143 0.794 1.160
Al 3.259 4.058 1.160
```

The 10 most intense peaks (10° ≤ 2θ ≤ 90°), most intense first:
- 3.584 Å, 24.8 deg, intensity 100
- 2.411 Å, 37.3 deg, intensity 74
- 3.259 Å, 27.4 deg, intensity 51
- 1.938 Å, 46.9 deg, intensity 30
- 5.645 Å, 15.7 deg, intensity 29
- 1.890 Å, 48.2 deg, intensity 23
- 1.483 Å, 62.6 deg, intensity 20
- 2.822 Å, 31.7 deg, intensity 19
- 2.319 Å, 38.8 deg, intensity 16
- 1.333 Å, 70.6 deg, intensity 14

=====

Please write out number 2 again, unchanged.
# Ti3Au
Simulated powder diffraction line list, Cu Kα, 1.54184 Å. Input: a PBE-relaxed structure.
Kinematic intensities with the Lorentz-polarization factor, no thermal factor.

```
8
Lattice="5.113 0.000 0.000 0.000 5.113 0.000 0.000 0.000 5.113" Properties=species:S:1:pos:R:3 pbc="T T T"
Ti 0.000 1.278 2.557
Ti 0.000 3.835 2.557
Ti 1.278 2.557 0.000
Ti 2.557 0.000 1.278
Ti 2.557 0.000 3.835
Ti 3.835 2.557 0.000
Au 0.000 0.000 0.000
Au 2.557 2.557 2.557
```

The 10 most intense peaks (10° ≤ 2θ ≤ 90°), most intense first:
- 2.087 Å, 43.3 deg, intensity 100
- 3.616 Å, 24.6 deg, intensity 81
- 1.367 Å, 68.7 deg, intensity 50
- 2.557 Å, 35.1 deg, intensity 45
- 2.287 Å, 39.4 deg, intensity 19
- 1.617 Å, 56.9 deg, intensity 18
- 1.143 Å, 84.8 deg, intensity 15
- 1.808 Å, 50.5 deg, intensity 13
- 1.205 Å, 79.5 deg, intensity 11
- 1.278 Å, 74.2 deg, intensity 9